Entry 1:
CrBiAs2Ir: simulated PXRD pattern (CuKα), based on a cell relaxed with GGA-PBE.
Kinematic intensities with the Lorentz-polarization factor, no thermal factor.

Atomic structure:
abc: 5.4110 5.4110 4.9847
angles: 90.00 90.00 90.00
Space group P4/mmm (No. 123)
Inequivalent atoms, fractional coordinates:
Cr  0.0000  0.0000  0.0000 x1
Bi  0.5000  0.5000  0.5000 x1
As  0.0000  0.5000  0.5000 x2
Ir  0.5000  0.5000  0.0000 x1

Largest 10 diffraction maxima, most intense first, 10 to 90 degrees two-theta:
16.38°, rel. 100.0; 33.11°, rel. 59.3; 49.74°, rel. 37.8; 23.25°, rel. 33.7; 37.15°, rel. 27.9; 36.04°, rel. 23.6; 39.82°, rel. 23.2; 47.53°, rel. 21.6; 52.72°, rel. 21.3; 61.06°, rel. 20.4

Entry 2:
PmSmAu3: simulated PXRD pattern (CuKα), based on a cell relaxed with GGA-PBE.
Kinematic intensities with the Lorentz-polarization factor, no thermal factor.

Atomic structure:
abc: 6.5128 6.5128 21.3354
angles: 90.00 90.00 120.00
Space group R-3m (No. 166, hexagonal axes)
Inequivalent atoms, fractional coordinates:
Pm  0.0000  0.0000  0.1127 x6
Sm  0.0000  0.0000  0.3230 x6
Au  0.0307  0.5153  0.1092 x18

Largest 10 diffraction maxima, most intense first, 10 to 90 degrees two-theta:
38.25°, rel. 100.0; 36.02°, rel. 92.9; 32.01°, rel. 60.1; 70.15°, rel. 53.6; 37.96°, rel. 39.9; 56.52°, rel. 35.0; 12.45°, rel. 32.0; 16.26°, rel. 30.6; 53.88°, rel. 21.3; 70.31°, rel. 14.4

Entry 3:
ScCd7: simulated PXRD pattern (CuKα), based on a cell relaxed with GGA-PBE.
Kinematic intensities with the Lorentz-polarization factor, no thermal factor.

Atomic structure:
abc: 7.3479 10.1929 9.4419
angles: 90.00 90.00 90.00
Space group Cmcm (No. 63)
Inequivalent atoms, fractional coordinates:
Sc  0.0000  0.0230  0.2500 x4
Cd  0.0000  0.2101  0.5176 x8
Cd  0.0000  0.4137  0.7500 x4
Cd  0.2029  0.3016  0.2500 x8
Cd  0.2120  0.5000  0.0000 x8

Largest 10 diffraction maxima, most intense first, 10 to 90 degrees two-theta:
35.63°, rel. 100.0; 38.12°, rel. 33.5; 34.75°, rel. 24.4; 31.48°, rel. 15.7; 36.52°, rel. 14.5; 58.95°, rel. 13.7; 67.28°, rel. 12.8; 72.39°, rel. 12.1; 39.01°, rel. 11.2; 41.74°, rel. 10.6

Entry 4:
Nd14YCd: simulated PXRD pattern (CuKα), based on a cell relaxed with GGA-PBE.
Kinematic intensities with the Lorentz-polarization factor, no thermal factor.

Atomic structure:
abc: 7.2535 7.2535 10.3336
angles: 90.00 90.00 90.00
Space group P4/mmm (No. 123)
Inequivalent atoms, fractional coordinates:
Nd  0.0000  0.0000  0.0000 x1
Nd  0.0000  0.5000  0.0000 x2
Nd  0.0000  0.5000  0.5000 x2
Nd  0.2484  0.2484  0.2543 x8
Nd  0.5000  0.5000  0.0000 x1
Y  0.5000  0.5000  0.5000 x1
Cd  0.0000  0.0000  0.5000 x1

Largest 10 diffraction maxima, most intense first, 10 to 90 degrees two-theta:
30.10°, rel. 100.0; 34.99°, rel. 33.6; 59.76°, rel. 28.3; 50.12°, rel. 24.0; 34.72°, rel. 17.0; 59.41°, rel. 14.3; 62.58°, rel. 12.3; 50.32°, rel. 11.9; 81.52°, rel. 11.5; 81.83°, rel. 5.8

Entry 5:
Hf4TiFe2: simulated PXRD pattern (CuKα), based on a cell relaxed with GGA-PBE.
Kinematic intensities with the Lorentz-polarization factor, no thermal factor.

Atomic structure:
abc: 4.5665 4.5665 22.6430
angles: 90.00 90.00 120.00
Space group R-3m (No. 166, hexagonal axes)
Inequivalent atoms, fractional coordinates:
Hf  0.0000  0.0000  0.1109 x6
Hf  0.0000  0.0000  0.2954 x6
Ti  0.0000  0.0000  0.5000 x3
Fe  0.0000  0.0000  0.4032 x6

Largest 10 diffraction maxima, most intense first, 10 to 90 degrees two-theta:
30.00°, rel. 100.0; 39.47°, rel. 98.0; 46.20°, rel. 49.3; 35.87°, rel. 24.7; 50.35°, rel. 24.3; 65.79°, rel. 22.1; 76.34°, rel. 22.0; 62.34°, rel. 20.0; 27.51°, rel. 17.2; 71.58°, rel. 16.7

Entry 6:
ZrZn11Si: simulated PXRD pattern (CuKα), based on a cell relaxed with GGA-PBE.
Kinematic intensities with the Lorentz-polarization factor, no thermal factor.

Atomic structure:
abc: 5.3009 12.3631 6.5991
angles: 90.00 112.77 90.00
Space group C2/m (No. 12)
Inequivalent atoms, fractional coordinates:
Zr  0.0000  0.0000  0.0000 x2
Zn  0.0000  0.5000  0.5000 x2
Zn  0.1029  0.3938  0.2117 x8
Zn  0.1742  0.1759  0.3521 x8
Zn  0.2500  0.2500  0.0000 x4
Si  0.0000  0.0000  0.5000 x2

Largest 10 diffraction maxima, most intense first, 10 to 90 degrees two-theta:
41.68°, rel. 100.0; 45.04°, rel. 51.7; 39.66°, rel. 43.5; 40.08°, rel. 42.4; 35.19°, rel. 39.8; 41.00°, rel. 38.0; 33.82°, rel. 29.4; 40.90°, rel. 26.3; 41.22°, rel. 25.1; 35.54°, rel. 21.9

> Which formula does entry 4 have?

Nd14YCd